Starting from the GGA-PBE geometry in the Materials Project, the powder diffraction line list of YInRh was computed for CuKα.
Kinematic intensities with the Lorentz-polarization factor, no thermal factor.

The 10 most intense peaks (10 to 90 degrees two-theta), in order of rising 2θ:
hkl 1 1 1, 32.80 deg, I 100
hkl 2 0 1, 35.65 deg, I 100
hkl 2 1 0, 36.43 deg, I 54
hkl 3 0 0, 41.51 deg, I 46
hkl 2 1 1, 43.21 deg, I 47
hkl 0 0 2, 45.80 deg, I 30
hkl 2 1 2, 59.88 deg, I 24
hkl 3 0 2, 63.52 deg, I 25
hkl 3 2 1, 66.80 deg, I 37
hkl 5 1 1, 86.61 deg, I 11

Cell and atoms:
Cell lengths 7.5355, 7.5355, 3.9620 Å; angles 90.00, 90.00, 120.00 degrees
Atoms (fractional coordinates):
Y  0.0000  0.5929  0.0000
Y  0.4071  0.4071  0.0000
Y  0.5929  0.0000  0.0000
In  0.0000  0.2561  0.5000
In  0.2561  0.0000  0.5000
In  0.7439  0.7439  0.5000
Rh  0.0000  0.0000  0.0000
Rh  0.3333  0.6667  0.5000
Rh  0.6667  0.3333  0.5000